Calculated XRD peak list of PmAlGaPd3 for a wavelength of 1.5418 Å, from a cell relaxed with GGA-PBE.
Peak positions follow from Bragg's law for the DFT cell and can differ from measured ones.

Atomic structure:
abc: 7.005 7.005 5.662
angles: 90.00 90.00 123.32
Fractional coordinates of all 12 atoms:
Pm 0.207 0.793 0.750
Pm 0.793 0.207 0.250
Al 0.457 0.543 0.750
Al 0.543 0.457 0.250
Ga 0.134 0.866 0.250
Ga 0.866 0.134 0.750
Pd 0.207 0.207 0.000
Pd 0.207 0.207 0.500
Pd 0.337 0.663 0.250
Pd 0.663 0.337 0.750
Pd 0.793 0.793 0.000
Pd 0.793 0.793 0.500

Main lines, sorted by position (10° ≤ 2θ ≤ 90°):
d_spacing	2θ (°)	Rel. int.
2.975	30.0	30
2.927	30.5	98
2.708	33.1	33
2.573	34.9	81
2.156	41.9	100
2.141	42.2	33
2.100	43.1	32
1.416	66.0	23

=====

Calculated XRD peak list of FeCoPd4 for a wavelength of 1.5418 Å, from a cell relaxed with GGA-PBE.
Peak positions follow from Bragg's law for the DFT cell and can differ from measured ones.

Atomic structure:
abc: 4.650 8.307 4.646
angles: 90.00 107.44 90.00
Fractional coordinates of all 12 atoms:
Fe 0.000 0.000 0.000
Fe 0.500 0.500 0.000
Co 0.000 0.500 0.500
Co 0.500 0.000 0.500
Pd 0.000 0.162 0.500
Pd 0.000 0.339 0.000
Pd 0.000 0.661 0.000
Pd 0.000 0.838 0.500
Pd 0.500 0.161 0.000
Pd 0.500 0.338 0.500
Pd 0.500 0.662 0.500
Pd 0.500 0.839 0.000

Main lines, sorted by position (10° ≤ 2θ ≤ 90°):
d_spacing	2θ (°)	Rel. int.
2.227	40.5	100
2.217	40.7	99
1.951	46.5	66
1.874	48.6	29
1.352	69.6	38
1.174	82.1	23
1.170	82.4	24
1.138	85.3	16

=====

Calculated XRD peak list of Zr2Ni5Ge3H2 for a wavelength of 1.5418 Å, from a cell relaxed with GGA-PBE.
Peak positions follow from Bragg's law for the DFT cell and can differ from measured ones.

Atomic structure:
abc: 10.628 10.628 10.628
angles: 159.61 159.61 28.99
Fractional coordinates of all 12 atoms:
Zr 0.197 0.197 0.000
Zr 0.803 0.803 0.000
Ni 0.000 0.000 0.000
Ni 0.086 0.586 0.500
Ni 0.414 0.914 0.500
Ni 0.586 0.086 0.500
Ni 0.914 0.414 0.500
Ge 0.333 0.333 0.000
Ge 0.500 0.500 0.000
Ge 0.667 0.667 0.000
H 0.083 0.083 0.000
H 0.917 0.917 0.000

Main lines, sorted by position (10° ≤ 2θ ≤ 90°):
d_spacing	2θ (°)	Rel. int.
2.575	34.8	24
2.363	38.1	23
2.316	38.9	17
2.102	43.0	100
1.881	48.4	49
1.460	63.8	13
1.330	70.8	15
1.124	86.6	24

=====

Calculated XRD peak list of YOs2RhI for a wavelength of 1.5418 Å, from a cell relaxed with GGA-PBE.
Peak positions follow from Bragg's law for the DFT cell and can differ from measured ones.

Atomic structure:
abc: 5.002 5.002 5.705
angles: 90.00 90.00 90.00
Fractional coordinates of all 5 atoms:
Y 0.000 0.000 0.000
Os 0.000 0.500 0.000
Os 0.500 0.000 0.000
Rh 0.500 0.500 0.500
I 0.000 0.000 0.500

Main lines, sorted by position (10° ≤ 2θ ≤ 90°):
d_spacing	2θ (°)	Rel. int.
5.705	15.5	23
3.006	29.7	100
2.852	31.4	40
2.501	35.9	56
1.880	48.4	48
1.768	51.7	20
1.524	60.8	27
1.503	61.7	23

=====

- What is the formula in the fourth record?
  YOs2RhI